[1]
Starting from the GGA-PBE geometry in Alexandria, the XRD peak list of Zr2V2W was calculated for CuKα.

Top 12 peaks for 10 to 80 degrees two-theta, low angle first:
4.470 Å, rel. 24
3.222 Å, rel. 79
2.614 Å, rel. 98
2.415 Å, rel. 100
2.324 Å, rel. 54
2.235 Å, rel. 26
1.999 Å, rel. 66
1.836 Å, rel. 22
1.611 Å, rel. 19
1.516 Å, rel. 54
1.419 Å, rel. 18
1.359 Å, rel. 15

Structure:
Cell lengths 6.3216, 6.3216, 4.6478 Å; angles 90.00, 90.00, 90.00 degrees
Fractional positions:
Zr  0.1714  0.3286  0.0000
Zr  0.3286  0.8286  0.0000
Zr  0.6714  0.1714  0.0000
Zr  0.8286  0.6714  0.0000
V  0.1395  0.6395  0.5000
V  0.3605  0.1395  0.5000
V  0.6395  0.8605  0.5000
V  0.8605  0.3605  0.5000
W  0.0000  0.0000  0.5000
W  0.5000  0.5000  0.5000

[2]
Starting from the GGA-PBE geometry in Alexandria, the XRD peak list of YV was calculated for CuKα.

Top 12 peaks for 10 to 80 degrees two-theta, low angle first:
3.302 Å, rel. 33
3.114 Å, rel. 25
2.610 Å, rel. 20
2.461 Å, rel. 47
2.380 Å, rel. 100
1.759 Å, rel. 27
1.740 Å, rel. 11
1.631 Å, rel. 9
1.519 Å, rel. 8
1.448 Å, rel. 7
1.405 Å, rel. 17
1.360 Å, rel. 13

Structure:
Cell lengths 10.4412, 10.4412, 3.2623 Å; angles 90.00, 90.00, 90.00 degrees
Fractional positions:
Y  0.1445  0.1578  0.0000
Y  0.1578  0.8555  0.0000
Y  0.3422  0.3555  0.5000
Y  0.3555  0.6578  0.5000
Y  0.6445  0.3422  0.5000
Y  0.6578  0.6445  0.5000
Y  0.8422  0.1445  0.0000
Y  0.8555  0.8422  0.0000
V  0.0106  0.6303  0.5000
V  0.1303  0.5106  0.0000
V  0.3697  0.0106  0.5000
V  0.4894  0.1303  0.0000
V  0.5106  0.8697  0.0000
V  0.6303  0.9894  0.5000
V  0.8697  0.4894  0.0000
V  0.9894  0.3697  0.5000

[3]
Starting from the GGA-PBE geometry in Alexandria, the XRD peak list of YV was calculated for CuKα.

Top 12 peaks for 10 to 80 degrees two-theta, low angle first:
3.161 Å, rel. 17
2.781 Å, rel. 53
2.591 Å, rel. 57
2.552 Å, rel. 100
2.471 Å, rel. 25
2.405 Å, rel. 71
1.788 Å, rel. 18
1.714 Å, rel. 16
1.488 Å, rel. 17
1.465 Å, rel. 18
1.458 Å, rel. 14
1.430 Å, rel. 16

Structure:
Cell lengths 5.7338, 5.7338, 3.4405 Å; angles 103.27, 103.27, 53.74 degrees
Fractional positions:
Y  0.1459  0.1459  0.3761
Y  0.8541  0.8541  0.6239
V  0.4197  0.4197  0.1547
V  0.5803  0.5803  0.8453

[4]
Starting from the GGA-PBE geometry in Alexandria, the XRD peak list of YZrV was calculated for CuKα.

Top 12 peaks for 10 to 80 degrees two-theta, low angle first:
3.024 Å, rel. 22
2.837 Å, rel. 42
2.772 Å, rel. 29
2.719 Å, rel. 26
2.651 Å, rel. 43
2.597 Å, rel. 14
2.583 Å, rel. 36
2.517 Å, rel. 100
2.405 Å, rel. 21
1.890 Å, rel. 14
1.765 Å, rel. 14
1.553 Å, rel. 15

Structure:
Cell lengths 5.3332, 3.2774, 8.0551 Å; angles 90.00, 103.10, 90.00 degrees
Fractional positions:
Y  0.2182  0.0000  0.4067
Y  0.7818  0.5000  0.5933
Zr  0.3558  0.7704  0.8377
Zr  0.6442  0.2704  0.1623
V  0.1261  0.5195  0.0911
V  0.8739  0.0195  0.9089

[5]
Starting from the GGA-PBE geometry in Alexandria, the XRD peak list of VZn2 was calculated for CuKα.

Top 9 peaks for 10 to 80 degrees two-theta, low angle first:
4.000 Å, rel. 21
2.449 Å, rel. 18
2.089 Å, rel. 100
2.000 Å, rel. 53
1.732 Å, rel. 11
1.589 Å, rel. 5
1.414 Å, rel. 5
1.333 Å, rel. 28
1.225 Å, rel. 25

Structure:
Cell lengths 4.8984, 4.8984, 4.8984 Å; angles 60.00, 60.00, 60.00 degrees
Fractional positions:
V  0.1250  0.1250  0.1250
V  0.8750  0.8750  0.8750
Zn  0.0000  0.5000  0.5000
Zn  0.5000  0.0000  0.5000
Zn  0.5000  0.5000  0.0000
Zn  0.5000  0.5000  0.5000

[6]
Starting from the GGA-PBE geometry in Alexandria, the XRD peak list of V2Zn3 was calculated for CuKα.

Top 12 peaks for 10 to 80 degrees two-theta, low angle first:
5.092 Å, rel. 2
3.395 Å, rel. 1
2.578 Å, rel. 2
2.191 Å, rel. 100
2.037 Å, rel. 20
1.838 Å, rel. 28
1.729 Å, rel. 1
1.616 Å, rel. 1
1.508 Å, rel. 1
1.365 Å, rel. 20
1.300 Å, rel. 8
1.204 Å, rel. 13

Structure:
Cell lengths 10.3484, 10.3484, 10.3484 Å; angles 165.57, 165.57, 20.46 degrees
Fractional positions:
V  0.1003  0.1003  0.0000
V  0.8997  0.8997  0.0000
Zn  0.3009  0.3009  0.0000
Zn  0.5000  0.5000  0.0000
Zn  0.6991  0.6991  0.0000